Starting from a PBE-relaxed structure, the X-ray powder pattern of MgCu2S2O8 was simulated for copper Kα.
Intensities are scaled so that the largest is 100.

Structural model:
```
26
Lattice="6.2884 0.0000 0.0000 0.0000 7.6643 0.0000 -6.0481 0.0000 6.9903" Properties=species:S:1:pos:R:3 pbc="T T T"
Mg 0.0000 0.0000 0.0000
Mg -3.0241 3.8321 3.4951
Cu -1.3140 1.4149 2.9073
Cu -4.3381 2.4172 6.4025
Cu 4.5784 5.2471 0.5878
Cu 1.5543 6.2494 4.0829
S 1.5171 4.8060 1.0510
S -1.5070 6.6904 4.5461
S 1.7473 0.9739 2.4441
S -1.2768 2.8582 5.9393
O -1.2589 0.1283 1.6383
O -4.2830 3.7038 5.1334
O 0.3046 5.7062 0.7315
O -2.7194 5.7902 4.2267
O 1.5551 1.0336 0.9087
O -1.4690 2.7986 4.4038
O 2.6586 5.6080 0.4264
O -0.3654 5.8885 3.9216
O 0.6057 1.7758 3.0687
O -2.4183 2.0563 6.5638
O 1.7093 4.8657 2.5864
O -1.3148 6.6307 6.0816
O 2.9598 1.8741 2.7636
O -0.0643 1.9581 6.2587
O 4.5233 3.9605 1.8569
O 1.4992 7.5360 5.3520
```

Principal peaks in the range 10 to 90 degrees two-theta, most intense first:
| 2theta | intensity |
| --- | --- |
| 28.06 | 100 |
| 26.53 | 68 |
| 28.40 | 49 |
| 37.48 | 35 |
| 23.21 | 28 |
| 39.59 | 27 |

Starting from a PBE-relaxed structure, the X-ray powder pattern of LiTiNbO4 was simulated for copper Kα.
Intensities are scaled so that the largest is 100.

Structural model:
```
14
Lattice="-3.0321 3.0580 4.3252 3.0321 -3.0580 4.3252 3.0321 3.0580 -4.3252" Properties=species:S:1:pos:R:3 pbc="T T T"
Li 0.0000 1.5290 1.0890
Li 3.0321 1.5290 3.2362
Ti 3.0321 0.0000 0.0000
Ti 0.0000 0.0000 4.3252
Nb 1.5160 1.5290 -2.1626
Nb 1.5160 -1.5290 2.1626
O 3.0321 -0.0687 2.0469
O 1.6817 1.5290 -0.0718
O 4.3825 1.5290 -0.0718
O 3.0321 2.9894 -2.0469
O 0.0000 0.0687 6.3720
O -1.3504 1.5290 4.3970
O 1.3504 1.5290 4.3970
O 0.0000 3.1267 2.2783
```

Principal peaks in the range 10 to 90 degrees two-theta, most intense first:
| 2theta | intensity |
| --- | --- |
| 17.76 | 100 |
| 41.96 | 45 |
| 34.61 | 38 |
| 34.41 | 33 |
| 17.86 | 31 |
| 60.70 | 29 |